LaVSO2: computed powder XRD pattern (CuKα), based on a structure optimized by DFT (GGA+U).
Lines closer than 0.1° are merged.

abc: 3.8924 4.0995 5.5025
angles: 90.00 90.00 90.00
Space group Pmm2 (No. 25)
One atom of each set of equivalent atoms:
La 0.0000 0.0000 0.0000 (multiplicity 1)
V 0.5000 0.5000 0.6575 (multiplicity 1)
S 0.5000 0.5000 0.2274 (multiplicity 1)
O 0.0000 0.5000 0.7542 (multiplicity 1)
O 0.5000 0.0000 0.7476 (multiplicity 1)

Principal peaks in the range 10 to 90 degrees two-theta, low angle first:
- hkl 0 0 1, 2θ = 16.11°, 5.503 Å, rel. 100
- hkl 0 1 1, 2θ = 27.12°, 3.287 Å, rel. 99
- hkl 1 0 1, 2θ = 28.08°, 3.178 Å, rel. 92
- hkl 1 1 0, 2θ = 31.70°, 2.823 Å, rel. 90
- hkl 1 1 1, 2θ = 35.75°, 2.512 Å, rel. 50
- hkl 0 1 2, 2θ = 39.44°, 2.284 Å, rel. 54
- hkl 1 0 2, 2θ = 40.14°, 2.247 Å, rel. 52
- hkl 0 2 0, 2θ = 44.18°, 2.050 Å, rel. 32
- hkl 1 1 2, 2θ = 46.07°, 1.970 Å, rel. 31
- hkl 2 1 1, 2θ = 54.82°, 1.675 Å, rel. 34